The following is a theoretical X-ray powder pattern of Zn8Cu5. It was derived from a PBE-relaxed structure, using Cu Kα, 1.54184 Å.

The 10 most intense peaks (2θ from 5° to 70°), by angle:
- 2θ 35.11, intensity 6, (2 2 2)
- 2θ 38.03, intensity 5, (3 2 1)
- 2θ 43.36, intensity 100, (3 3 0)
- 2θ 45.84, intensity 1, (4 2 0)
- 2θ 48.21, intensity 5, (3 3 2)
- 2θ 50.50, intensity 3, (4 2 2)
- 2θ 52.72, intensity 3, (5 1 0)
- 2θ 56.97, intensity 1, (5 2 1)
- 2θ 62.99, intensity 8, (6 0 0)
- 2θ 64.93, intensity 2, (6 1 1)

Atomic structure:
```
data_Zn8Cu5
_cell_length_a 8.853
_cell_length_b 8.853
_cell_length_c 8.853
_cell_angle_alpha 90.00
_cell_angle_beta 90.00
_cell_angle_gamma 90.00
_symmetry_space_group_name_H-M 'I -4 3 m'
_symmetry_Int_Tables_number 217
_symmetry_space_group_name_Hall 'I -4 2 3'
loop_
_atom_site_label
_atom_site_fract_x
_atom_site_fract_y
_atom_site_fract_z
Zn1 0.037 0.313 0.687
Zn2 0.109 0.109 0.891
Cu1 0.000 0.000 0.356
Cu2 0.172 0.172 0.172
```


The following is a theoretical X-ray powder pattern of Sn2PdAu. It was derived from a PBE-relaxed structure, using Cu Kα, 1.54184 Å.

The 10 most intense peaks (2θ from 5° to 70°), by angle:
- 2θ 24.16, intensity 35, (1 0 0)
- 2θ 28.87, intensity 69, (1 0 1)
- 2θ 40.06, intensity 100, (0 1 2)
- 2θ 42.50, intensity 70, (1 1 0)
- 2θ 49.48, intensity 5, (2 0 0)
- 2θ 52.20, intensity 14, (0 2 1)
- 2θ 54.43, intensity 11, (0 1 3)
- 2θ 59.82, intensity 31, (2 0 2)
- 2θ 65.67, intensity 6, (0 0 4)
- 2θ 69.50, intensity 12, (2 1 1)

Atomic structure:
```
data_Sn2PdAu
_cell_length_a 4.2541
_cell_length_b 4.2541
_cell_length_c 5.6871
_cell_angle_alpha 90.00
_cell_angle_beta 90.00
_cell_angle_gamma 120.00
_symmetry_space_group_name_H-M 'P -3 m 1'
_symmetry_Int_Tables_number 164
_symmetry_space_group_name_Hall '-P 3 2"'
loop_
_atom_site_label
_atom_site_fract_x
_atom_site_fract_y
_atom_site_fract_z
Sn1 0.3333 0.6667 0.2391
Pd1 0.0000 0.0000 0.0000
Au1 0.0000 0.0000 0.5000
```


The following is a theoretical X-ray powder pattern of AlPO4. It was derived from a PBE-relaxed structure, using Cu Kα, 1.54184 Å.

The 10 most intense peaks (2θ from 5° to 70°), by angle:
- 2θ 7.74, intensity 100, (0 1 0)
- 2θ 8.05, intensity 29, (0 1 -1)
- 2θ 13.23, intensity 6, (0 1 1)
- 2θ 16.14, intensity 14, (0 2 -2)
- 2θ 18.54, intensity 24, (1 1 -1)
- 2θ 20.31, intensity 12, (0 1 2)
- 2θ 21.55, intensity 11, (1 1 -2)
- 2θ 21.84, intensity 11, (1 -1 2)
- 2θ 26.64, intensity 9, (0 2 2)
- 2θ 33.72, intensity 6, (2 0 0)

Atomic structure:
```
data_AlPO4
_cell_length_a 5.320
_cell_length_b 12.848
_cell_length_c 12.879
_cell_angle_alpha 117.28
_cell_angle_beta 90.81
_cell_angle_gamma 90.89
_symmetry_space_group_name_H-M 'P -1'
_symmetry_Int_Tables_number 2
loop_
_symmetry_equiv_pos_as_xyz
'x,y,z'
'-x,-y,-z'
loop_
_atom_site_label
_atom_site_fract_x
_atom_site_fract_y
_atom_site_fract_z
Al1 0.230 0.360 0.374
Al2 0.232 0.014 0.869
Al3 0.234 0.843 0.420
P1 0.263 0.634 0.484
P2 0.266 0.080 0.661
P3 0.273 0.130 0.141
O1 0.046 0.148 0.646
O2 0.056 0.666 0.575
O3 0.063 0.057 0.161
O4 0.237 0.504 0.392
O5 0.241 0.706 0.417
O6 0.250 0.260 0.226
O7 0.252 0.951 0.567
O8 0.254 0.118 0.017
O9 0.257 0.084 0.782
O10 0.473 0.913 0.838
O11 0.480 0.341 0.453
O12 0.487 0.861 0.345
```


> What is the formula in the second record?

Sn2PdAu